Calculated X-ray diffraction stick pattern of Tb4Zn for Cu Kα, 1.54184 Å, from a crystal structure in Alexandria, relaxed with GGA-PBE.
Intensities are scaled so that the largest is 100.

The 10 most intense peaks (2θ from 10° to 90°), most intense first:
- 2θ 31.2, I 100
- 2θ 32.1, I 78
- 2θ 30.9, I 36
- 2θ 32.3, I 34
- 2θ 61.4, I 25
- 2θ 55.1, I 20
- 2θ 63.8, I 19
- 2θ 55.6, I 16
- 2θ 38.3, I 15
- 2θ 51.6, I 13

Structural model:
```
10
Lattice="-3.2549 7.6464 2.8982 3.2549 -7.6464 2.8982 3.2549 7.6464 -2.8982" Properties=species:S:1:pos:R:3 pbc="T T T"
Tb 4.2703 1.3144 0.0000
Tb 0.9607 2.8579 0.0000
Tb 4.2156 4.7885 0.0000
Tb 1.0154 6.3320 0.0000
Tb 2.2395 1.3144 2.8982
Tb -0.9607 2.8579 2.8982
Tb 2.2942 4.7885 2.8982
Tb -1.0154 6.3320 2.8982
Zn 0.0000 0.0000 1.4491
Zn 0.0000 0.0000 4.3474
```

---

Calculated X-ray diffraction stick pattern of TbZn13 for Cu Kα, 1.54184 Å, from a crystal structure in Alexandria, relaxed with GGA-PBE.
Intensities are scaled so that the largest is 100.

The 10 most intense peaks (2θ from 10° to 90°), most intense first:
- 2θ 44.2, I 100
- 2θ 36.3, I 100
- 2θ 33.0, I 50
- 2θ 44.8, I 21
- 2θ 47.4, I 21
- 2θ 70.7, I 18
- 2θ 63.2, I 17
- 2θ 77.0, I 16
- 2θ 56.8, I 16
- 2θ 54.5, I 14

Structural model:
```
28
Lattice="0.0000 6.0675 6.0675 6.0675 0.0000 6.0675 6.0675 6.0675 0.0000" Properties=species:S:1:pos:R:3 pbc="T T T"
Tb 3.0337 3.0337 3.0337
Tb 9.1012 9.1012 9.1012
Zn 0.0000 0.0000 0.0000
Zn 6.0675 4.5941 2.1842
Zn 9.9507 6.0675 4.5941
Zn 7.5409 2.1842 6.0675
Zn 7.5409 6.0675 3.8832
Zn 6.0675 3.8832 4.5941
Zn 8.2517 4.5941 6.0675
Zn 6.0675 7.5409 2.1842
Zn 4.5941 2.1842 6.0675
Zn 9.9507 6.0675 7.5409
Zn 4.5941 6.0675 3.8832
Zn 8.2517 7.5409 6.0675
Zn 6.0675 3.8832 7.5409
Zn 6.0675 6.0675 6.0675
Zn 6.0675 8.2517 4.5941
Zn 3.8832 4.5941 6.0675
Zn 7.5409 6.0675 8.2517
Zn 2.1842 6.0675 4.5941
Zn 7.5409 9.9507 6.0675
Zn 6.0675 4.5941 9.9507
Zn 3.8832 7.5409 6.0675
Zn 6.0675 8.2517 7.5409
Zn 4.5941 6.0675 8.2517
Zn 4.5941 9.9507 6.0675
Zn 2.1842 6.0675 7.5409
Zn 6.0675 7.5409 9.9507
```